Structure and computed X-ray diffraction stick pattern of Zn2SiPd (DFT lattice parameters and positions (PBE); Cu Kα X-rays).
No peak broadening, texture or thermal motion is included.

Atomic structure:
```
Zn2SiPd
1.0
6.175 0.000 0.000
0.000 6.175 0.000
0.000 0.000 6.175
Zn Si Pd
8 4 4
Cartesian
0.000 0.000 0.000 Zn
0.000 3.088 3.088 Zn
1.544 1.544 1.544 Zn
1.544 4.632 4.632 Zn
3.088 0.000 3.088 Zn
3.088 3.088 0.000 Zn
4.632 1.544 4.632 Zn
4.632 4.632 1.544 Zn
0.000 0.000 3.088 Si
0.000 3.088 0.000 Si
3.088 0.000 0.000 Si
3.088 3.088 3.088 Si
1.544 1.544 4.632 Pd
1.544 4.632 1.544 Pd
4.632 1.544 1.544 Pd
4.632 4.632 4.632 Pd
```

Peak list (11 most intense, 15 to 90 degrees two-theta, by intensity)
- 2θ = 41.35°, I = 100
- 2θ = 75.41°, I = 32
- 2θ = 59.91°, I = 16
- 2θ = 28.92°, I = 11
- 2θ = 24.97°, I = 10
- 2θ = 89.85°, I = 10
- 2θ = 48.92°, I = 5
- 2θ = 67.88°, I = 4
- 2θ = 51.25°, I = 3
- 2θ = 65.93°, I = 2
- 2θ = 80.88°, I = 1

Structure and computed X-ray diffraction stick pattern of FePt13 (DFT lattice parameters and positions (PBE); Cu Kα X-rays).
No peak broadening, texture or thermal motion is included.

Atomic structure:
```
FePt13
1.0
5.292 -3.779 0.000
5.292 3.779 0.000
-1.196 0.000 5.585
Fe Pt
1 13
Cartesian
0.000 0.000 0.000 Fe
-0.598 0.000 2.793 Pt
2.524 2.401 4.000 Pt
4.292 1.509 1.005 Pt
1.387 0.000 4.938 Pt
6.863 2.401 1.585 Pt
5.095 1.509 4.581 Pt
3.373 0.000 3.113 Pt
6.014 0.000 2.473 Pt
4.292 -1.509 1.005 Pt
2.524 -2.401 4.000 Pt
8.000 0.000 0.647 Pt
5.095 -1.509 4.581 Pt
6.863 -2.401 1.585 Pt
```

Peak list (12 most intense, 15 to 90 degrees two-theta, by intensity)
- 2θ = 40.99°, I = 100
- 2θ = 42.65°, I = 83
- 2θ = 38.87°, I = 83
- 2θ = 40.15°, I = 71
- 2θ = 45.46°, I = 51
- 2θ = 41.42°, I = 44
- 2θ = 78.08°, I = 37
- 2θ = 39.76°, I = 37
- 2θ = 44.54°, I = 35
- 2θ = 72.74°, I = 33
- 2θ = 35.21°, I = 32
- 2θ = 73.80°, I = 30

Structure and computed X-ray diffraction stick pattern of TbGdIn2Ni4 (DFT lattice parameters and positions (PBE); Cu Kα X-rays).
No peak broadening, texture or thermal motion is included.

Atomic structure:
```
TbGdIn2Ni4
1.0
4.024 0.000 0.000
0.000 5.118 0.000
0.000 0.000 7.049
Tb Gd In Ni
1 1 2 4
Cartesian
0.000 0.000 0.000 Tb
0.000 2.559 3.272 Gd
2.012 0.000 2.675 In
2.012 2.559 0.599 In
0.000 0.000 4.378 Ni
0.000 2.559 5.953 Ni
2.012 1.276 5.169 Ni
2.012 3.842 5.169 Ni
```

Peak list (12 most intense, 15 to 90 degrees two-theta, by intensity)
- 2θ = 30.98°, I = 100
- 2θ = 38.24°, I = 72
- 2θ = 45.06°, I = 34
- 2θ = 35.06°, I = 32
- 2θ = 42.33°, I = 30
- 2θ = 33.81°, I = 28
- 2θ = 43.71°, I = 26
- 2θ = 43.85°, I = 25
- 2θ = 48.25°, I = 18
- 2θ = 63.53°, I = 18
- 2θ = 64.58°, I = 16
- 2θ = 60.37°, I = 15

Structure and computed X-ray diffraction stick pattern of HfSi2Ge2 (DFT lattice parameters and positions (PBE); Cu Kα X-rays).
No peak broadening, texture or thermal motion is included.

Atomic structure:
```
HfSi2Ge2
1.0
3.709 0.000 0.000
0.000 3.709 0.000
0.000 0.000 13.305
Hf Si Ge
2 4 4
Cartesian
0.000 0.000 0.000 Hf
1.854 1.854 6.653 Hf
0.000 0.000 5.474 Si
0.000 0.000 7.831 Si
1.854 1.854 1.179 Si
1.854 1.854 12.126 Si
0.000 1.854 3.326 Ge
0.000 1.854 9.979 Ge
1.854 0.000 3.326 Ge
1.854 0.000 9.979 Ge
```

Peak list (12 most intense, 15 to 90 degrees two-theta, by intensity)
- 2θ = 36.84°, I = 100
- 2θ = 31.44°, I = 41
- 2θ = 26.80°, I = 39
- 2θ = 24.92°, I = 34
- 2θ = 54.19°, I = 32
- 2θ = 41.78°, I = 30
- 2θ = 49.13°, I = 26
- 2θ = 56.85°, I = 20
- 2θ = 83.75°, I = 19
- 2θ = 66.42°, I = 15
- 2θ = 59.50°, I = 13
- 2θ = 81.04°, I = 11

Structure and computed X-ray diffraction stick pattern of DyNb2As3 (DFT lattice parameters and positions (PBE); Cu Kα X-rays).
No peak broadening, texture or thermal motion is included.

Atomic structure:
```
DyNb2As3
1.0
3.975 0.000 0.000
-1.988 3.443 0.000
0.000 0.000 8.913
Dy Nb As
1 2 3
Cartesian
0.000 0.000 0.000 Dy
0.000 2.295 3.261 Nb
1.988 1.148 5.652 Nb
0.000 0.000 4.457 As
0.000 2.295 7.202 As
1.988 1.148 1.711 As
```

Peak list (12 most intense, 15 to 90 degrees two-theta, by intensity)
- 2θ = 32.87°, I = 100
- 2θ = 45.64°, I = 43
- 2θ = 48.67°, I = 28
- 2θ = 57.38°, I = 20
- 2θ = 76.22°, I = 17
- 2θ = 27.78°, I = 14
- 2θ = 86.63°, I = 12
- 2θ = 40.09°, I = 11
- 2θ = 68.93°, I = 10
- 2θ = 80.76°, I = 7
- 2θ = 84.41°, I = 7
- 2θ = 71.03°, I = 7

Structure and computed X-ray diffraction stick pattern of NdZnCuPt3 (DFT lattice parameters and positions (PBE); Cu Kα X-rays).
No peak broadening, texture or thermal motion is included.

Atomic structure:
```
NdZnCuPt3
1.0
5.492 0.000 0.000
-2.746 4.756 0.000
0.000 0.000 4.082
Nd Zn Cu Pt
1 1 1 3
Cartesian
0.000 0.000 0.000 Nd
0.000 3.171 0.000 Zn
2.746 1.585 0.000 Cu
2.746 0.012 2.041 Pt
1.383 2.372 2.041 Pt
4.109 2.372 2.041 Pt
```

Peak list (12 most intense, 15 to 90 degrees two-theta, by intensity)
- 2θ = 37.83°, I = 100
- 2θ = 39.55°, I = 95
- 2θ = 44.07°, I = 78
- 2θ = 28.82°, I = 68
- 2θ = 59.70°, I = 54
- 2θ = 44.39°, I = 37
- 2θ = 85.17°, I = 35
- 2θ = 68.32°, I = 31
- 2θ = 21.77°, I = 26
- 2θ = 62.89°, I = 24
- 2θ = 55.88°, I = 22
- 2θ = 18.66°, I = 19

Structure and computed X-ray diffraction stick pattern of Sm4Si3S12 (DFT lattice parameters and positions (PBE); Cu Kα X-rays).
No peak broadening, texture or thermal motion is included.

Atomic structure:
```
Sm4Si3S12
1.0
9.546 5.512 2.623
-9.546 5.512 2.623
0.000 -11.023 2.623
Sm Si S
8 6 24
Cartesian
0.000 0.000 0.000 Sm
-2.136 -7.163 4.294 Sm
-5.135 5.431 4.294 Sm
-4.411 -0.081 5.605 Sm
0.000 0.000 3.934 Sm
2.275 -3.780 5.605 Sm
2.136 3.860 5.605 Sm
7.271 1.732 4.294 Sm
-7.897 2.221 3.876 Si
2.025 -7.949 3.876 Si
-1.650 -3.291 5.188 Si
-2.025 3.074 5.188 Si
3.675 0.217 5.188 Si
5.871 5.728 3.876 Si
-5.130 0.018 2.804 S
-6.801 3.583 2.678 S
0.298 -7.681 2.678 S
-4.417 -5.493 4.115 S
0.005 -2.065 1.962 S
-1.791 1.028 1.962 S
-5.803 -2.518 5.250 S
-2.746 -1.929 3.989 S
-0.721 -4.739 3.938 S
2.549 -4.452 2.804 S
1.786 1.037 1.962 S
-3.743 2.993 3.938 S
-2.549 6.572 4.115 S
-0.298 3.342 3.989 S
3.043 -1.414 3.989 S
2.581 4.433 2.804 S
-0.005 -2.065 5.896 S
-1.786 1.037 5.896 S
4.464 1.745 3.938 S
6.503 4.098 2.678 S
5.082 -3.766 5.250 S
6.966 -1.078 4.115 S
1.791 1.028 5.896 S
0.721 6.285 5.250 S
```

Peak list (12 most intense, 15 to 90 degrees two-theta, by intensity)
- 2θ = 24.67°, I = 100
- 2θ = 18.13°, I = 78
- 2θ = 35.48°, I = 50
- 2θ = 32.80°, I = 50
- 2θ = 26.78°, I = 45
- 2θ = 37.69°, I = 43
- 2θ = 37.45°, I = 38
- 2θ = 36.73°, I = 30
- 2θ = 42.59°, I = 25
- 2θ = 48.87°, I = 25
- 2θ = 26.08°, I = 24
- 2θ = 44.77°, I = 24

Structure and computed X-ray diffraction stick pattern of NaFe3Si5 (DFT lattice parameters and positions (PBE); Cu Kα X-rays).
No peak broadening, texture or thermal motion is included.

Atomic structure:
```
NaFe3Si5
1.0
4.944 0.000 0.000
-2.472 4.281 0.000
0.000 0.000 6.003
Na Fe Si
1 3 5
Cartesian
0.000 0.000 0.000 Na
-1.236 2.141 3.002 Fe
2.472 0.000 3.002 Fe
1.236 2.141 3.002 Fe
0.000 0.000 3.002 Si
0.000 2.854 1.187 Si
0.000 2.854 4.816 Si
2.472 1.427 1.187 Si
2.472 1.427 4.816 Si
```

Peak list (12 most intense, 15 to 90 degrees two-theta, by intensity)
- 2θ = 52.51°, I = 100
- 2θ = 44.96°, I = 86
- 2θ = 42.22°, I = 39
- 2θ = 20.75°, I = 37
- 2θ = 39.42°, I = 27
- 2θ = 45.32°, I = 27
- 2θ = 36.35°, I = 24
- 2θ = 77.18°, I = 24
- 2θ = 29.77°, I = 23
- 2θ = 77.71°, I = 17
- 2θ = 47.66°, I = 17
- 2θ = 50.34°, I = 16